Sr2SbIr: simulated powder diffraction line list (a wavelength of 1.5418 Å), based on DFT lattice parameters and positions (PBE).
Intensities are scaled so that the largest is 100.

Structural model:
```
data_Sr2SbIr
_space_group_name_H-M_alt 'P 1'
_space_group_IT_number 1
_space_group_name_Hall 'P 1'
_cell_length_a 4.671
_cell_length_b 4.831
_cell_length_c 10.927
_cell_angle_alpha 90.00
_cell_angle_beta 90.00
_cell_angle_gamma 90.00
loop_
_atom_site_label
_atom_site_fract_x
_atom_site_fract_y
_atom_site_fract_z
_atom_site_occupancy
Sr1 0.000 0.000 0.000 1
Sr2 0.000 0.500 0.500 1
Sr3 0.500 0.000 0.288 1
Sr4 0.500 0.500 0.788 1
Sb1 0.500 0.000 0.592 1
Sb2 0.500 0.500 0.092 1
Ir1 0.000 0.000 0.702 1
Ir2 0.000 0.500 0.202 1
```

Peak list (10 most intense, 10 to 90 degrees two-theta, in order of rising 2θ)
Position (°2θ)	intensity	hkl
16.22	56.7	0 0 2
20.10	57.7	0 1 1
27.79	100.0	1 1 1
30.74	62.9	0 1 3
36.39	89.6	1 1 3
37.23	42.8	0 2 0
38.16	50.3	1 0 4
38.55	38.8	2 0 0
50.09	32.3	2 1 3
54.37	36.1	1 2 4